Record 1
Calculated X-ray powder pattern
Compound: PrCu5Sn
Radiation: copper Kα
Structure: a structure optimized by DFT (GGA-PBE)

Structure:
Cell lengths 8.361, 5.089, 10.659 Å; angles 90.00, 90.00, 90.00 degrees
Atoms (fractional coordinates):
1 Pr 0.245 0.250 0.061
2 Pr 0.255 0.750 0.561
3 Pr 0.745 0.250 0.439
4 Pr 0.755 0.750 0.939
5 Cu 0.061 0.750 0.106
6 Cu 0.066 0.501 0.313
7 Cu 0.066 0.999 0.313
8 Cu 0.084 0.250 0.517
9 Cu 0.185 0.250 0.745
10 Cu 0.315 0.750 0.245
11 Cu 0.416 0.750 0.017
12 Cu 0.434 0.001 0.813
13 Cu 0.434 0.499 0.813
14 Cu 0.439 0.250 0.606
15 Cu 0.561 0.750 0.394
16 Cu 0.566 0.501 0.187
17 Cu 0.566 0.999 0.187
18 Cu 0.584 0.250 0.983
19 Cu 0.685 0.250 0.755
20 Cu 0.815 0.750 0.255
21 Cu 0.916 0.750 0.483
22 Cu 0.934 0.001 0.687
23 Cu 0.934 0.499 0.687
24 Cu 0.939 0.250 0.894
25 Sn 0.142 0.750 0.861
26 Sn 0.358 0.250 0.361
27 Sn 0.642 0.750 0.639
28 Sn 0.858 0.250 0.139

Main lines, low angle first (2θ = 10–90°):
- 2θ 30.7, 2.913 Å, intensity 33
- 2θ 32.5, 2.751 Å, intensity 28
- 2θ 35.3, 2.542 Å, intensity 87
- 2θ 37.6, 2.390 Å, intensity 75
- 2θ 37.8, 2.383 Å, intensity 100
- 2θ 41.6, 2.173 Å, intensity 24
- 2θ 42.4, 2.130 Å, intensity 39
- 2θ 43.8, 2.066 Å, intensity 28
- 2θ 44.1, 2.054 Å, intensity 81
- 2θ 45.2, 2.008 Å, intensity 51
- 2θ 64.9, 1.437 Å, intensity 50
- 2θ 69.5, 1.352 Å, intensity 27

***

Record 2
Calculated X-ray powder pattern
Compound: Pr3Cu4Sn4
Radiation: copper Kα
Structure: a structure optimized by DFT (GGA-PBE)

Structure:
Cell lengths 8.665, 8.665, 8.665 Å; angles 149.10, 131.92, 58.25 degrees
Atoms (fractional coordinates):
1 Pr 0.000 0.000 0.000
2 Pr 0.367 0.867 0.500
3 Pr 0.633 0.133 0.500
4 Cu 0.015 0.332 0.683
5 Cu 0.351 0.668 0.683
6 Cu 0.649 0.332 0.317
7 Cu 0.985 0.668 0.317
8 Sn 0.217 0.217 0.000
9 Sn 0.300 0.500 0.800
10 Sn 0.700 0.500 0.200
11 Sn 0.783 0.783 0.000

Main lines, low angle first (2θ = 10–90°):
- 2θ 32.2, 2.783 Å, intensity 25
- 2θ 32.5, 2.757 Å, intensity 94
- 2θ 33.1, 2.704 Å, intensity 100
- 2θ 35.6, 2.523 Å, intensity 18
- 2θ 39.0, 2.308 Å, intensity 45
- 2θ 42.4, 2.133 Å, intensity 24
- 2θ 44.0, 2.057 Å, intensity 23
- 2θ 51.4, 1.776 Å, intensity 13
- 2θ 59.0, 1.566 Å, intensity 22
- 2θ 66.6, 1.404 Å, intensity 18
- 2θ 74.6, 1.272 Å, intensity 17
- 2θ 81.8, 1.177 Å, intensity 14

***

Record 3
Calculated X-ray powder pattern
Compound: PrCu9Sn4
Radiation: copper Kα
Structure: a structure optimized by DFT (GGA-PBE)

Structure:
Cell lengths 8.751, 8.751, 8.751 Å; angles 117.22, 117.22, 94.89 degrees
Atoms (fractional coordinates):
1 Pr 0.250 0.250 0.000
2 Pr 0.750 0.750 0.000
3 Cu 0.000 0.500 0.500
4 Cu 0.053 0.157 0.500
5 Cu 0.076 0.576 0.293
6 Cu 0.157 0.657 0.103
7 Cu 0.218 0.924 0.500
8 Cu 0.282 0.782 0.707
9 Cu 0.343 0.447 0.500
10 Cu 0.424 0.718 0.500
11 Cu 0.447 0.947 0.103
12 Cu 0.500 0.000 0.500
13 Cu 0.553 0.053 0.897
14 Cu 0.576 0.282 0.500
15 Cu 0.657 0.553 0.500
16 Cu 0.718 0.218 0.293
17 Cu 0.782 0.076 0.500
18 Cu 0.843 0.343 0.897
19 Cu 0.924 0.424 0.707
20 Cu 0.947 0.843 0.500
21 Sn 0.043 0.781 0.824
22 Sn 0.219 0.043 0.262
23 Sn 0.281 0.543 0.824
24 Sn 0.457 0.281 0.738
25 Sn 0.543 0.719 0.262
26 Sn 0.719 0.457 0.176
27 Sn 0.781 0.957 0.738
28 Sn 0.957 0.219 0.176

Main lines, low angle first (2θ = 10–90°):
- 2θ 31.6, 2.831 Å, intensity 100
- 2θ 34.6, 2.592 Å, intensity 81
- 2θ 36.2, 2.482 Å, intensity 35
- 2θ 41.4, 2.180 Å, intensity 19
- 2θ 41.5, 2.173 Å, intensity 69
- 2θ 42.5, 2.128 Å, intensity 98
- 2θ 44.2, 2.047 Å, intensity 18
- 2θ 46.0, 1.973 Å, intensity 23
- 2θ 50.5, 1.806 Å, intensity 23
- 2θ 66.8, 1.401 Å, intensity 22
- 2θ 70.1, 1.343 Å, intensity 19
- 2θ 76.8, 1.241 Å, intensity 18

***

Record 4
Calculated X-ray powder pattern
Compound: Pr2Cu3Sn3
Radiation: copper Kα
Structure: a structure optimized by DFT (GGA-PBE)

Structure:
Cell lengths 3.024, 3.024, 22.825 Å; angles 90.00, 90.00, 90.00 degrees
Atoms (fractional coordinates):
1 Pr 0.000 0.000 0.242
2 Pr 0.000 0.000 0.758
3 Cu 0.000 0.000 0.116
4 Cu 0.000 0.000 0.500
5 Cu 0.000 0.000 0.884
6 Sn 0.000 0.000 0.000
7 Sn 0.000 0.000 0.388
8 Sn 0.000 0.000 0.612

Main lines, low angle first (2θ = 10–90°):
- 2θ 19.4, 4.565 Å, intensity 9
- 2θ 29.5, 3.024 Å, intensity 100
- 2θ 31.4, 2.853 Å, intensity 35
- 2θ 35.6, 2.521 Å, intensity 8
- 2θ 38.0, 2.367 Å, intensity 8
- 2θ 42.3, 2.138 Å, intensity 38
- 2θ 43.6, 2.075 Å, intensity 57
- 2θ 53.6, 1.711 Å, intensity 32
- 2θ 61.3, 1.512 Å, intensity 13
- 2θ 69.5, 1.352 Å, intensity 17
- 2θ 70.5, 1.336 Å, intensity 13
- 2θ 78.2, 1.222 Å, intensity 21

***

Record 5
Calculated X-ray powder pattern
Compound: Sr2CuPt
Radiation: copper Kα
Structure: a structure optimized by DFT (GGA-PBE)

Structure:
Cell lengths 7.458, 7.458, 7.458 Å; angles 90.00, 90.00, 90.00 degrees
Atoms (fractional coordinates):
1 Sr 0.250 0.250 0.250
2 Sr 0.250 0.250 0.750
3 Sr 0.250 0.750 0.250
4 Sr 0.250 0.750 0.750
5 Sr 0.750 0.250 0.250
6 Sr 0.750 0.250 0.750
7 Sr 0.750 0.750 0.250
8 Sr 0.750 0.750 0.750
9 Cu 0.000 0.000 0.000
10 Cu 0.000 0.500 0.500
11 Cu 0.500 0.000 0.500
12 Cu 0.500 0.500 0.000
13 Pt 0.000 0.000 0.500
14 Pt 0.000 0.500 0.000
15 Pt 0.500 0.000 0.000
16 Pt 0.500 0.500 0.500

Main lines, low angle first (2θ = 10–90°):
- 2θ 20.6, 4.306 Å, intensity 18
- 2θ 23.9, 3.729 Å, intensity 4
- 2θ 34.0, 2.637 Å, intensity 100
- 2θ 40.1, 2.249 Å, intensity 10
- 2θ 48.8, 1.864 Å, intensity 18
- 2θ 53.6, 1.711 Å, intensity 5
- 2θ 55.1, 1.668 Å, intensity 2
- 2θ 60.9, 1.522 Å, intensity 37
- 2θ 65.0, 1.435 Å, intensity 4
- 2θ 71.6, 1.318 Å, intensity 11
- 2θ 75.4, 1.261 Å, intensity 4
- 2θ 81.7, 1.179 Å, intensity 16

***

Record 6
Calculated X-ray powder pattern
Compound: Tb2CuPt
Radiation: copper Kα
Structure: a structure optimized by DFT (GGA-PBE)

Structure:
Cell lengths 4.462, 5.533, 7.176 Å; angles 90.00, 90.00, 90.00 degrees
Atoms (fractional coordinates):
1 Tb 0.000 0.105 0.000
2 Tb 0.000 0.895 0.500
3 Tb 0.500 0.386 0.370
4 Tb 0.500 0.614 0.870
5 Cu 0.000 0.393 0.649
6 Cu 0.000 0.607 0.149
7 Pt 0.500 0.114 0.721
8 Pt 0.500 0.886 0.221

Main lines, low angle first (2θ = 10–90°):
- 2θ 28.6, 3.126 Å, intensity 31
- 2θ 32.0, 2.796 Å, intensity 55
- 2θ 34.8, 2.581 Å, intensity 44
- 2θ 36.0, 2.496 Å, intensity 75
- 2θ 40.4, 2.233 Å, intensity 100
- 2θ 41.1, 2.196 Å, intensity 22
- 2θ 46.1, 1.970 Å, intensity 12
- 2θ 53.7, 1.707 Å, intensity 16
- 2θ 54.4, 1.688 Å, intensity 25
- 2θ 59.0, 1.565 Å, intensity 15
- 2θ 69.3, 1.355 Å, intensity 15
- 2θ 78.2, 1.222 Å, intensity 13

***

Copy entry 4 word for word.
Calculated X-ray powder pattern
Compound: Pr2Cu3Sn3
Radiation: copper Kα
Structure: a structure optimized by DFT (GGA-PBE)

Structure:
Cell lengths 3.024, 3.024, 22.825 Å; angles 90.00, 90.00, 90.00 degrees
Atoms (fractional coordinates):
1 Pr 0.000 0.000 0.242
2 Pr 0.000 0.000 0.758
3 Cu 0.000 0.000 0.116
4 Cu 0.000 0.000 0.500
5 Cu 0.000 0.000 0.884
6 Sn 0.000 0.000 0.000
7 Sn 0.000 0.000 0.388
8 Sn 0.000 0.000 0.612

Main lines, low angle first (2θ = 10–90°):
- 2θ 19.4, 4.565 Å, intensity 9
- 2θ 29.5, 3.024 Å, intensity 100
- 2θ 31.4, 2.853 Å, intensity 35
- 2θ 35.6, 2.521 Å, intensity 8
- 2θ 38.0, 2.367 Å, intensity 8
- 2θ 42.3, 2.138 Å, intensity 38
- 2θ 43.6, 2.075 Å, intensity 57
- 2θ 53.6, 1.711 Å, intensity 32
- 2θ 61.3, 1.512 Å, intensity 13
- 2θ 69.5, 1.352 Å, intensity 17
- 2θ 70.5, 1.336 Å, intensity 13
- 2θ 78.2, 1.222 Å, intensity 21